(1)
Structure and computed PXRD pattern of La2Dy3Hg4 (a structure optimized by DFT (PBE); Cu Kα, 1.54184 Å).
Kinematic intensities with the Lorentz-polarization factor, no thermal factor.

Peak list (10 most intense, 10° ≤ 2θ ≤ 80°, by angle)
- 2θ 29.11, rel. 50
- 2θ 30.03, rel. 56
- 2θ 33.16, rel. 100
- 2θ 33.81, rel. 28
- 2θ 37.17, rel. 40
- 2θ 39.56, rel. 27
- 2θ 47.39, rel. 15
- 2θ 51.49, rel. 19
- 2θ 60.21, rel. 29
- 2θ 65.20, rel. 17

Cell and atoms:
Cell lengths 7.099, 17.826, 8.329 Å; angles 90.00, 90.00, 90.00 degrees
Space group Cmce (No. 64)
Symmetry-distinct sites (fractional):
La 0.000 0.095 0.089
Dy 0.000 0.000 0.500
Dy 0.250 0.238 0.750
Hg 0.000 0.170 0.474
Hg 0.250 0.064 0.750

=====

(2)
Structure and computed PXRD pattern of La3DyHg (a structure optimized by DFT (PBE); Cu Kα, 1.54184 Å).
Kinematic intensities with the Lorentz-polarization factor, no thermal factor.

Peak list (10 most intense, 10° ≤ 2θ ≤ 80°, by angle)
- 2θ 27.45, rel. 24
- 2θ 28.12, rel. 20
- 2θ 30.71, rel. 60
- 2θ 31.34, rel. 57
- 2θ 31.69, rel. 52
- 2θ 33.10, rel. 100
- 2θ 35.40, rel. 28
- 2θ 49.70, rel. 21
- 2θ 52.98, rel. 22
- 2θ 59.94, rel. 19

Cell and atoms:
Cell lengths 22.912, 3.669, 8.345 Å; angles 90.00, 105.20, 90.00 degrees
Space group C2/m (No. 12)
Symmetry-distinct sites (fractional):
La 0.015 0.000 0.248
La 0.120 0.500 0.032
La 0.175 0.000 0.459
Dy 0.239 0.500 0.826
Hg 0.083 0.500 0.614

=====

(3)
Structure and computed PXRD pattern of LaDy4Hg4 (a structure optimized by DFT (PBE); Cu Kα, 1.54184 Å).
Kinematic intensities with the Lorentz-polarization factor, no thermal factor.

Peak list (10 most intense, 10° ≤ 2θ ≤ 80°, by angle)
- 2θ 26.19, rel. 26
- 2θ 29.16, rel. 81
- 2θ 30.76, rel. 24
- 2θ 32.15, rel. 68
- 2θ 32.54, rel. 27
- 2θ 33.87, rel. 31
- 2θ 37.25, rel. 100
- 2θ 38.78, rel. 37
- 2θ 60.51, rel. 30
- 2θ 63.83, rel. 25

Cell and atoms:
Cell lengths 9.684, 9.684, 5.503 Å; angles 90.00, 90.00, 90.00 degrees
Space group P4_2/n (No. 86, origin choice 2)
Symmetry-distinct sites (fractional):
La 0.250 0.250 0.250
Dy 0.103 0.840 0.674
Hg 0.041 0.144 0.825

=====

(4)
Structure and computed PXRD pattern of La3Dy2Hg3 (a structure optimized by DFT (PBE); Cu Kα, 1.54184 Å).
Kinematic intensities with the Lorentz-polarization factor, no thermal factor.

Peak list (10 most intense, 10° ≤ 2θ ≤ 80°, by angle)
- 2θ 31.40, rel. 24
- 2θ 32.15, rel. 27
- 2θ 32.51, rel. 100
- 2θ 45.55, rel. 18
- 2θ 47.70, rel. 9
- 2θ 56.60, rel. 16
- 2θ 57.54, rel. 20
- 2θ 58.23, rel. 9
- 2θ 58.69, rel. 10
- 2θ 68.08, rel. 11

Cell and atoms:
Cell lengths 3.813, 5.569, 22.791 Å; angles 90.00, 90.00, 90.00 degrees
Space group Immm (No. 71)
Symmetry-distinct sites (fractional):
La 0.000 0.000 0.000
La 0.000 0.500 0.123
Dy 0.000 0.000 0.234
Hg 0.000 0.000 0.500
Hg 0.000 0.500 0.374